For LaNd2Cu2Si4Pt2, DFT lattice parameters and positions (GGA-PBE) gives the calculated X-ray powder pattern in this record (Cu Kα, 1.54184 Å).

```
data_LaNd2Cu2Si4Pt2
_chemical_formula_sum 'La2 Nd4 Cu4 Si8 Pt4'
_cell_length_a 4.1821
_cell_length_b 4.2482
_cell_length_c 24.0920
_cell_angle_alpha 90.00
_cell_angle_beta 90.00
_cell_angle_gamma 90.00
_space_group_name_H-M_alt 'I m m m'
_space_group_IT_number 71
_space_group_name_Hall '-I 2 2'
loop_
_atom_site_label
_atom_site_type_symbol
_atom_site_fract_x
_atom_site_fract_y
_atom_site_fract_z
La1 La 0.0000 0.0000 0.0000
Nd1 Nd 0.0000 0.5000 0.3537
Cu1 Cu 0.0000 0.5000 0.0966
Si1 Si 0.0000 0.0000 0.4497
Si2 Si 0.0000 0.5000 0.1945
Pt1 Pt 0.0000 0.0000 0.2486
```

The 6 most intense peaks (2θ from 10° to 80°), low angle first:
2theta  Rel. int.  (hkl)
29.66  12  0 0 8
33.54  100  1 1 4
37.58  12  1 1 6
42.56  16  0 2 0
43.27  17  2 0 0
62.31  14  2 2 0

---

For LaNd2Cu4Si4, DFT lattice parameters and positions (GGA-PBE) gives the calculated X-ray powder pattern in this record (Cu Kα, 1.54184 Å).

```
data_LaNd2Cu4Si4
_chemical_formula_sum 'La2 Nd4 Cu8 Si8'
_cell_length_a 4.1711
_cell_length_b 4.1889
_cell_length_c 23.7271
_cell_angle_alpha 90.00
_cell_angle_beta 90.00
_cell_angle_gamma 90.00
_space_group_name_H-M_alt 'I m m m'
_space_group_IT_number 71
_space_group_name_Hall '-I 2 2'
loop_
_atom_site_label
_atom_site_type_symbol
_atom_site_fract_x
_atom_site_fract_y
_atom_site_fract_z
La1 La 0.0000 0.0000 0.0000
Nd1 Nd 0.0000 0.5000 0.3482
Cu1 Cu 0.0000 0.0000 0.2497
Cu2 Cu 0.0000 0.5000 0.0977
Si1 Si 0.0000 0.0000 0.4486
Si2 Si 0.0000 0.5000 0.1963
```

The 6 most intense peaks (2θ from 10° to 80°), low angle first:
2theta  Rel. int.  (hkl)
24.12  29  1 0 3
33.89  100  1 1 4
34.03  43  0 1 7
40.48  21  1 0 9
43.20  27  0 2 0
43.39  22  2 0 0

---

For LaNd2Zn2Cu2Si4, DFT lattice parameters and positions (GGA-PBE) gives the calculated X-ray powder pattern in this record (Cu Kα, 1.54184 Å).

```
data_LaNd2Zn2Cu2Si4
_chemical_formula_sum 'La2 Nd4 Zn4 Cu4 Si8'
_cell_length_a 4.1668
_cell_length_b 4.1875
_cell_length_c 24.5497
_cell_angle_alpha 90.00
_cell_angle_beta 90.00
_cell_angle_gamma 90.00
_space_group_name_H-M_alt 'I m m m'
_space_group_IT_number 71
_space_group_name_Hall '-I 2 2'
loop_
_atom_site_label
_atom_site_type_symbol
_atom_site_fract_x
_atom_site_fract_y
_atom_site_fract_z
La1 La 0.0000 0.0000 0.0000
Nd1 Nd 0.0000 0.5000 0.3549
Zn1 Zn 0.0000 0.0000 0.2500
Cu1 Cu 0.0000 0.5000 0.0946
Si1 Si 0.0000 0.0000 0.4505
Si2 Si 0.0000 0.5000 0.1894
```

The 6 most intense peaks (2θ from 10° to 80°), low angle first:
2theta  Rel. int.  (hkl)
23.96  24  1 0 3
33.33  43  0 1 7
33.67  100  1 1 4
43.21  20  0 2 0
43.43  20  2 0 0
46.14  18  1 0 11

---

For La2NdZn2Cu2Si4, DFT lattice parameters and positions (GGA-PBE) gives the calculated X-ray powder pattern in this record (Cu Kα, 1.54184 Å).

```
data_La2NdZn2Cu2Si4
_chemical_formula_sum 'La4 Nd2 Zn4 Cu4 Si8'
_cell_length_a 4.1968
_cell_length_b 4.2220
_cell_length_c 24.3484
_cell_angle_alpha 90.00
_cell_angle_beta 90.00
_cell_angle_gamma 90.00
_space_group_name_H-M_alt 'I m m m'
_space_group_IT_number 71
_space_group_name_Hall '-I 2 2'
loop_
_atom_site_label
_atom_site_type_symbol
_atom_site_fract_x
_atom_site_fract_y
_atom_site_fract_z
La1 La 0.0000 0.0000 0.1519
Nd1 Nd 0.0000 0.5000 0.5000
Zn1 Zn 0.0000 0.0000 0.4024
Cu1 Cu 0.0000 0.5000 0.2501
Si1 Si 0.0000 0.0000 0.3017
Si2 Si 0.0000 0.5000 0.0484
```

The 6 most intense peaks (2θ from 10° to 80°), low angle first:
2theta  Rel. int.  (hkl)
23.87  25  1 0 3
33.39  42  0 1 7
33.51  100  1 1 4
39.63  22  1 0 9
42.84  22  0 2 0
43.11  22  2 0 0

---

What is the formula in the first record? LaNd2Cu2Si4Pt2

---

Which formula does entry 1 have? LaNd2Cu2Si4Pt2